1.
LiHo2PtO6: simulated powder diffraction line list (a wavelength of 1.5418 Å), based on a crystal structure in Alexandria, relaxed with GGA-PBE.
Lines closer than 0.1° are merged.

Crystal structure
```
data_LiHo2PtO6
_space_group_name_H-M_alt 'P 1 21/c 1'
_space_group_IT_number 14
_space_group_name_Hall '-P 2ybc'
_cell_length_a 5.305
_cell_length_b 5.736
_cell_length_c 9.167
_cell_angle_alpha 90.00
_cell_angle_beta 124.20
_cell_angle_gamma 90.00
loop_
_atom_site_label
_atom_site_type_symbol
_atom_site_fract_x
_atom_site_fract_y
_atom_site_fract_z
Li1 Li 0.000 0.000 0.000
Ho1 Ho 0.222 0.083 0.747
Pt1 Pt 0.500 0.000 0.500
O1 O 0.129 0.185 0.440
O2 O 0.261 0.701 0.435
O3 O 0.379 0.045 0.252
```

Most intense lines, 10 to 90 degrees two-theta, by angle:
- hkl 0 1 1, 2θ 19.41, I = 70
- hkl 1 0 -2, 2θ 20.63, I = 43
- hkl 0 2 0, 2θ 31.19, I = 33
- hkl 1 1 1, 2θ 32.73, I = 100
- hkl 1 1 -3, 2θ 33.22, I = 99
- hkl 0 2 1, 2θ 33.41, I = 29
- hkl 2 0 -2, 2θ 33.80, I = 50
- hkl 2 1 -1, 2θ 39.05, I = 31
- hkl 2 2 -2, 2θ 46.65, I = 28
- hkl 0 0 4, 2θ 48.01, I = 56
- hkl 3 1 -1, 2θ 59.48, I = 27
- hkl 3 1 -5, 2θ 60.42, I = 26

=====

2.
LiHoPuO4: simulated powder diffraction line list (a wavelength of 1.5418 Å), based on a crystal structure in Alexandria, relaxed with GGA-PBE.
Lines closer than 0.1° are merged.

Crystal structure
```
data_LiHoPuO4
_space_group_name_H-M_alt 'C m c m'
_space_group_IT_number 63
_space_group_name_Hall '-C 2c 2'
_cell_length_a 6.056
_cell_length_b 9.602
_cell_length_c 6.908
_cell_angle_alpha 90.00
_cell_angle_beta 90.00
_cell_angle_gamma 90.00
loop_
_atom_site_label
_atom_site_type_symbol
_atom_site_fract_x
_atom_site_fract_y
_atom_site_fract_z
Li1 Li 0.000 0.155 0.250
Ho1 Ho 0.000 0.500 0.000
Pu1 Pu 0.000 0.161 0.750
O1 O 0.000 0.266 0.012
O2 O 0.250 0.002 0.250
```

Most intense lines, 10 to 90 degrees two-theta, by angle:
- hkl 1 1 1, 2θ 21.60, I = 100
- hkl 0 2 1, 2θ 22.55, I = 52
- hkl 2 0 0, 2θ 29.50, I = 52
- hkl 1 1 2, 2θ 31.23, I = 96
- hkl 1 3 0, 2θ 31.62, I = 82
- hkl 0 2 2, 2θ 31.92, I = 21
- hkl 2 2 1, 2θ 37.45, I = 31
- hkl 2 2 2, 2θ 44.01, I = 32
- hkl 3 1 2, 2θ 53.46, I = 32
- hkl 2 4 2, 2θ 55.64, I = 30
- hkl 2 0 4, 2θ 61.86, I = 20
- hkl 1 3 4, 2θ 63.06, I = 24

=====

3.
LiHoS2O8: simulated powder diffraction line list (a wavelength of 1.5418 Å), based on a crystal structure in Alexandria, relaxed with GGA-PBE.
Lines closer than 0.1° are merged.

Crystal structure
```
data_LiHoS2O8
_space_group_name_H-M_alt 'P -4 n 2'
_space_group_IT_number 118
_space_group_name_Hall 'P -4 -2n'
_cell_length_a 7.543
_cell_length_b 7.543
_cell_length_c 5.947
_cell_angle_alpha 90.00
_cell_angle_beta 90.00
_cell_angle_gamma 90.00
loop_
_atom_site_label
_atom_site_type_symbol
_atom_site_fract_x
_atom_site_fract_y
_atom_site_fract_z
Li1 Li 0.000 0.500 0.250
Ho1 Ho 0.000 0.500 0.750
S1 S 0.224 0.276 0.250
O1 O 0.092 0.793 0.834
O2 O 0.093 0.320 0.435
```

Most intense lines, 10 to 90 degrees two-theta, by angle:
- hkl 1 1 0, 2θ 16.62, I = 100
- hkl 1 0 1, 2θ 19.00, I = 95
- hkl 1 1 1, 2θ 22.39, I = 43
- hkl 0 0 2, 2θ 30.05, I = 18
- hkl 2 1 1, 2θ 30.47, I = 63
- hkl 2 2 0, 2θ 33.61, I = 19
- hkl 1 1 2, 2θ 34.53, I = 22
- hkl 3 1 0, 2θ 37.71, I = 19
- hkl 3 0 1, 2θ 38.89, I = 37
- hkl 2 2 2, 2θ 45.70, I = 24
- hkl 3 2 1, 2θ 45.99, I = 19
- hkl 3 1 2, 2θ 48.96, I = 28